Entry 1:
The following is a theoretical powder XRD pattern of LiCuS. It was derived from a DFT-relaxed cell (GGA-PBE, the Materials Project), using CuKα.

Most intense lines, 2θ from 10° to 80°, in order of falling intensity:
2theta	I_rel	(hkl)
23.64	100.0	2 0 0
48.98	56.8	1 1 3
35.64	54.0	2 1 1
26.29	45.9	0 1 1
29.61	43.9	1 0 2
60.76	23.4	3 1 3
52.27	20.2	2 2 0
45.90	19.0	0 2 0

Structure:
Cell: 7.527 3.954 6.586 Å, 90.00 90.00 90.00°
Space group Pnma (No. 62)
One atom of each set of equivalent atoms:
Li1 0.054 0.250 0.190 (multiplicity 4)
Cu1 0.238 0.250 0.831 (multiplicity 4)
S1 0.231 0.750 0.992 (multiplicity 4)

Entry 2:
The following is a theoretical powder XRD pattern of TmIr. It was derived from a DFT-relaxed cell (GGA-PBE, the Materials Project), using CuKα.

Most intense lines, 2θ from 10° to 80°, in order of falling intensity:
2theta	I_rel	(hkl)
37.61	100.0	1 1 0
67.88	36.0	2 1 1
54.24	17.6	2 0 0

Structure:
Cell: 3.382 3.382 3.382 Å, 90.00 90.00 90.00°
Space group Pm-3m (No. 221)
One atom of each set of equivalent atoms:
Tm1 0.000 0.000 0.000 (multiplicity 1)
Ir1 0.500 0.500 0.500 (multiplicity 1)